# TlVRuO6
Calculated powder XRD pattern, Cu Kα, 1.54184 Å. Input: a cell relaxed with GGA+U.

Unit cell a=5.1482 b=5.1482 c=4.9902 alpha=90.00 beta=90.00 gamma=120.00
Fractional coordinates of all 9 atoms:
Tl1 0.0000 0.0000 0.0000
V1 0.3333 0.6667 0.5000
Ru1 0.6667 0.3333 0.5000
O1 0.0085 0.3796 0.7150
O2 0.0085 0.6290 0.2850
O3 0.3710 0.3796 0.2850
O4 0.3710 0.9915 0.7150
O5 0.6204 0.6290 0.7150
O6 0.6204 0.9915 0.2850

Principal peaks in the range 2θ = 10–80°, in order of falling intensity:
2θ (°)	d [Å]	intensity
26.81	3.325	100.0
50.97	1.792	32.5
34.85	2.574	29.5
44.51	2.035	23.9
57.75	1.597	23.4
19.91	4.458	15.9